# 1
Computed PXRD pattern of ScCuSe2 for Cu Kα (λ = 1.5418 Å), from a PBE-relaxed structure.
Neutral-atom scattering factors, no anomalous dispersion.

Main lines, in order of rising 2θ (10° ≤ 2θ ≤ 90°):
2θ/deg	I_rel
14.8	36
29.8	100
30.1	40
38.4	74
38.9	36
46.5	38
46.8	73
50.1	39

```
data_ScCuSe2
_chemical_formula_sum 'Sc4 Cu4 Se8'
_space_group_name_H-M_alt 'P 1 2 1'
_space_group_IT_number 3
_space_group_name_Hall 'P 2y'
_cell_length_a 6.714
_cell_length_b 3.906
_cell_length_c 12.930
_cell_angle_alpha 90.00
_cell_angle_beta 90.65
_cell_angle_gamma 90.00
loop_
_atom_site_label
_atom_site_type_symbol
_atom_site_fract_x
_atom_site_fract_y
_atom_site_fract_z
Sc1 Sc 0.000 0.000 0.000
Sc2 Sc 0.000 0.000 0.500
Sc3 Sc 0.500 0.504 0.000
Sc4 Sc 0.500 0.508 0.500
Cu1 Cu 0.154 0.507 0.187
Cu2 Cu 0.345 0.998 0.313
Se1 Se 0.155 0.501 0.377
Se2 Se 0.176 0.500 0.883
Se3 Se 0.325 0.008 0.617
Se4 Se 0.344 0.004 0.123
```

# 2
Computed PXRD pattern of SrScCuTeSe2 for Cu Kα (λ = 1.5418 Å), from a PBE-relaxed structure.
Neutral-atom scattering factors, no anomalous dispersion.

Main lines, in order of rising 2θ (10° ≤ 2θ ≤ 90°):
2θ/deg	I_rel
16.7	18
28.2	30
30.4	100
33.8	79
42.7	23
45.0	23
46.3	17
52.4	30

```
data_SrScCuTeSe2
_chemical_formula_sum 'Sr4 Sc4 Cu4 Te4 Se8'
_space_group_name_H-M_alt 'C m c m'
_space_group_IT_number 63
_space_group_name_Hall '-C 2c 2'
_cell_length_a 4.028
_cell_length_b 14.113
_cell_length_c 10.626
_cell_angle_alpha 90.00
_cell_angle_beta 90.00
_cell_angle_gamma 90.00
loop_
_atom_site_label
_atom_site_type_symbol
_atom_site_fract_x
_atom_site_fract_y
_atom_site_fract_z
Sr1 Sr 0.000 0.223 0.250
Sc1 Sc 0.000 0.000 0.000
Cu1 Cu 0.000 0.471 0.750
Te1 Te 0.000 0.089 0.750
Se1 Se 0.000 0.373 0.561
```

# 3
Computed PXRD pattern of ScCu5Si2 for Cu Kα (λ = 1.5418 Å), from a PBE-relaxed structure.
Neutral-atom scattering factors, no anomalous dispersion.

Main lines, in order of rising 2θ (10° ≤ 2θ ≤ 90°):
2θ/deg	I_rel
14.1	10
31.0	7
42.5	100
44.4	47
58.6	7
64.6	14
76.4	13
80.5	27

```
data_ScCu5Si2
_chemical_formula_sum 'Sc1 Cu5 Si2'
_space_group_name_H-M_alt 'P 4/m m m'
_space_group_IT_number 123
_space_group_name_Hall '-P 4 2'
_cell_length_a 4.078
_cell_length_b 4.078
_cell_length_c 6.298
_cell_angle_alpha 90.00
_cell_angle_beta 90.00
_cell_angle_gamma 90.00
loop_
_atom_site_label
_atom_site_type_symbol
_atom_site_fract_x
_atom_site_fract_y
_atom_site_fract_z
Sc1 Sc 0.000 0.000 0.000
Cu1 Cu 0.000 0.500 0.277
Cu2 Cu 0.500 0.500 0.500
Si1 Si 0.000 0.000 0.500
Si2 Si 0.500 0.500 0.000
```

# 4
Computed PXRD pattern of Sc2Cu2SiSn for Cu Kα (λ = 1.5418 Å), from a PBE-relaxed structure.
Neutral-atom scattering factors, no anomalous dispersion.

Main lines, in order of rising 2θ (10° ≤ 2θ ≤ 90°):
2θ/deg	I_rel
25.5	42
29.5	10
42.3	100
50.0	20
61.3	16
67.5	8
77.3	31
82.9	6

```
data_Sc2Cu2SiSn
_chemical_formula_sum 'Sc8 Cu8 Si4 Sn4'
_space_group_name_H-M_alt 'P 1 m 1'
_space_group_IT_number 6
_space_group_name_Hall 'P -2y'
_cell_length_a 10.477
_cell_length_b 4.277
_cell_length_c 10.479
_cell_angle_alpha 90.00
_cell_angle_beta 109.47
_cell_angle_gamma 90.00
loop_
_atom_site_label
_atom_site_type_symbol
_atom_site_fract_x
_atom_site_fract_y
_atom_site_fract_z
Sc1 Sc 0.000 0.000 0.000
Sc2 Sc 0.115 0.500 0.373
Sc3 Sc 0.236 0.000 0.739
Sc4 Sc 0.375 0.500 0.136
Sc5 Sc 0.499 0.000 0.499
Sc6 Sc 0.624 0.500 0.865
Sc7 Sc 0.745 0.000 0.257
Sc8 Sc 0.866 0.500 0.619
Cu1 Cu 0.131 0.500 0.134
Cu2 Cu 0.236 0.000 0.486
Cu3 Cu 0.370 0.500 0.874
Cu4 Cu 0.497 0.000 0.258
Cu5 Cu 0.626 0.500 0.620
Cu6 Cu 0.746 0.000 0.988
Cu7 Cu 0.868 0.500 0.380
Cu8 Cu 0.983 0.000 0.738
Si1 Si 0.246 0.000 0.251
Si2 Si 0.621 0.500 0.377
Si3 Si 0.746 0.000 0.746
Si4 Si 0.992 0.000 0.497
Sn1 Sn 0.119 0.500 0.873
Sn2 Sn 0.368 0.500 0.620
Sn3 Sn 0.496 0.000 0.999
Sn4 Sn 0.870 0.500 0.123
```

# 5
Computed PXRD pattern of YSc2Cu4Si4 for Cu Kα (λ = 1.5418 Å), from a PBE-relaxed structure.
Neutral-atom scattering factors, no anomalous dispersion.

Main lines, in order of rising 2θ (10° ≤ 2θ ≤ 90°):
2θ/deg	I_rel
30.4	42
36.3	100
36.7	29
38.1	78
41.0	40
45.8	46
46.6	47
50.0	32

```
data_YSc2Cu4Si4
_chemical_formula_sum 'Y2 Sc4 Cu8 Si8'
_space_group_name_H-M_alt 'I m m m'
_space_group_IT_number 71
_space_group_name_Hall '-I 2 2'
_cell_length_a 3.963
_cell_length_b 6.524
_cell_length_c 13.201
_cell_angle_alpha 90.00
_cell_angle_beta 90.00
_cell_angle_gamma 90.00
loop_
_atom_site_label
_atom_site_type_symbol
_atom_site_fract_x
_atom_site_fract_y
_atom_site_fract_z
Y1 Y 0.000 0.000 0.000
Sc1 Sc 0.000 0.500 0.126
Cu1 Cu 0.000 0.306 0.328
Si1 Si 0.000 0.000 0.221
Si2 Si 0.000 0.181 0.500
```

# 6
Computed PXRD pattern of Sc2Cu3Tc for Cu Kα (λ = 1.5418 Å), from a PBE-relaxed structure.
Neutral-atom scattering factors, no anomalous dispersion.

Main lines, in order of rising 2θ (10° ≤ 2θ ≤ 90°):
2θ/deg	I_rel
20.8	11
38.8	66
42.0	100
44.4	6
56.0	21
72.4	35
78.8	12
83.2	6

```
data_Sc2Cu3Tc
_chemical_formula_sum 'Sc2 Cu3 Tc1'
_space_group_name_H-M_alt 'P 4 m m'
_space_group_IT_number 99
_space_group_name_Hall 'P 4 -2'
_cell_length_a 3.284
_cell_length_b 3.284
_cell_length_c 8.549
_cell_angle_alpha 90.00
_cell_angle_beta 90.00
_cell_angle_gamma 90.00
loop_
_atom_site_label
_atom_site_type_symbol
_atom_site_fract_x
_atom_site_fract_y
_atom_site_fract_z
Sc1 Sc 0.000 0.000 0.000
Sc2 Sc 0.500 0.500 0.497
Cu1 Cu 0.000 0.000 0.682
Cu2 Cu 0.500 0.500 0.172
Cu3 Cu 0.500 0.500 0.823
Tc1 Tc 0.000 0.000 0.317
```

# 7
Computed PXRD pattern of Y2Tm3ScCuTe2 for Cu Kα (λ = 1.5418 Å), from a PBE-relaxed structure.
Neutral-atom scattering factors, no anomalous dispersion.

Main lines, in order of rising 2θ (10° ≤ 2θ ≤ 90°):
2θ/deg	I_rel
22.9	31
31.6	100
33.1	96
34.0	79
37.7	39
40.6	79
58.4	38
61.3	38

```
data_Y2Tm3ScCuTe2
_chemical_formula_sum 'Y4 Tm6 Sc2 Cu2 Te4'
_space_group_name_H-M_alt 'A m m 2'
_space_group_IT_number 38
_space_group_name_Hall 'A 2 -2'
_cell_length_a 3.891
_cell_length_b 14.316
_cell_length_c 8.264
_cell_angle_alpha 90.00
_cell_angle_beta 90.00
_cell_angle_gamma 90.00
loop_
_atom_site_label
_atom_site_type_symbol
_atom_site_fract_x
_atom_site_fract_y
_atom_site_fract_z
Y1 Y 0.000 0.201 0.000
Tm1 Tm 0.500 0.000 0.045
Tm2 Tm 0.500 0.120 0.674
Sc1 Sc 0.000 0.000 0.398
Cu1 Cu 0.000 0.000 0.797
Te1 Te 0.500 0.163 0.301
```

# 8
Computed PXRD pattern of Sc2ZnCu for Cu Kα (λ = 1.5418 Å), from a PBE-relaxed structure.
Neutral-atom scattering factors, no anomalous dispersion.

Main lines, in order of rising 2θ (10° ≤ 2θ ≤ 90°):
2θ/deg	I_rel
34.3	34
39.1	38
39.6	100
40.0	59
52.9	18
61.9	16
71.1	15
75.7	17

```
data_Sc2ZnCu
_chemical_formula_sum 'Sc8 Zn4 Cu4'
_space_group_name_H-M_alt 'A m m 2'
_space_group_IT_number 38
_space_group_name_Hall 'A 2 -2'
_cell_length_a 4.611
_cell_length_b 6.071
_cell_length_c 10.336
_cell_angle_alpha 90.00
_cell_angle_beta 90.00
_cell_angle_gamma 90.00
loop_
_atom_site_label
_atom_site_type_symbol
_atom_site_fract_x
_atom_site_fract_y
_atom_site_fract_z
Sc1 Sc 0.000 0.000 0.000
Sc2 Sc 0.000 0.235 0.742
Sc3 Sc 0.500 0.000 0.354
Zn1 Zn 0.000 0.000 0.498
Zn2 Zn 0.500 0.000 0.835
Cu1 Cu 0.500 0.234 0.587
```